Structure and calculated PXRD pattern of La12Tb7Nd (a DFT-relaxed cell (PBE, Alexandria); copper Kα).
Lines closer than 0.1° are merged.

Peak list (10 most intense, 2θ = 5–70°, by angle)
- 27.23°, I = 531, hkl 3 3 0
- 29.74°, I = 1000, hkl 0 5 1
- 29.86°, I = 507, hkl 2 0 2
- 32.47°, I = 387, hkl 5 1 1
- 32.86°, I = 433, hkl 5 2 0
- 33.87°, I = 327, hkl 3 1 2
- 38.64°, I = 372, hkl 5 0 2
- 39.67°, I = 295, hkl 7 0 1
- 46.19°, I = 263, hkl 5 5 0
- 46.96°, I = 293, hkl 0 7 2

Structure:
```
data_La12Tb7Nd
_symmetry_space_group_name_H-M 'R -3 m'
_symmetry_Int_Tables_number 166
_symmetry_space_group_name_Hall '-R 3 2"'
_cell_length_a 19.6520
_cell_length_b 19.6520
_cell_length_c 6.3921
_cell_angle_alpha 90.00
_cell_angle_beta 90.00
_cell_angle_gamma 120.00
loop_
_atom_site_label
_atom_site_fract_x
_atom_site_fract_y
_atom_site_fract_z
La1 0.0000 0.4077 0.0000
La2 0.0962 0.5481 0.4789
Tb1 0.0000 0.0000 0.0000
Tb2 0.0833 0.1666 0.3008
Nd1 0.0000 0.0000 0.5000
```